[1]
Structure and calculated X-ray diffraction stick pattern of Mn5As (a DFT-relaxed cell (GGA-PBE, Alexandria); Cu Kα, 1.54184 Å).

Peak list (8 most intense, 5° ≤ 2θ ≤ 70°, low angle first)
two_theta	I_rel
27.6	1
31.0	2
33.8	1
36.4	1
43.1	100
43.4	98
49.8	63
51.4	29

Crystal structure
```
Mn5As
1.0
4.0739 -1.7769 0.0000
4.0739 1.7769 0.0000
-1.6677 0.0000 4.9308
Mn As
5 1
Direct
0.0000 0.0000 0.0000
0.3289 0.3289 0.1557
0.3332 0.3332 0.6729
0.6668 0.6668 0.3271
0.6711 0.6711 0.8443
0.0000 0.0000 0.5000
```

[2]
Structure and calculated X-ray diffraction stick pattern of ZnInTcO6 (a DFT-relaxed cell (GGA-PBE, Alexandria); Cu Kα, 1.54184 Å).

Peak list (8 most intense, 5° ≤ 2θ ≤ 70°, low angle first)
two_theta	I_rel
27.7	100
34.6	39
39.9	8
44.9	26
53.1	41
57.9	24
62.0	15
63.8	9

Crystal structure
```
ZnInTcO6
1.0
5.1848 0.0000 0.0000
-2.5924 4.4901 0.0000
0.0000 0.0000 9.2508
Zn In Tc O
2 2 2 12
Direct
0.3333 0.6667 0.2500
0.6667 0.3333 0.7500
0.0000 0.0000 0.0000
0.0000 0.0000 0.5000
0.3333 0.6667 0.7500
0.6667 0.3333 0.2500
0.0277 0.3651 0.6339
0.0277 0.6626 0.8661
0.3374 0.3651 0.8661
0.3374 0.9723 0.6339
0.3651 0.0277 0.1339
0.3651 0.3374 0.3661
0.6349 0.6626 0.6339
0.6349 0.9723 0.8661
0.6626 0.0277 0.3661
0.6626 0.6349 0.1339
0.9723 0.3374 0.1339
0.9723 0.6349 0.3661
```